No. 1
Starting from the GGA+U geometry in Alexandria, the powder XRD pattern of UMn2GaO8 was calculated for Cu Kα X-rays.
Kinematic intensities with the Lorentz-polarization factor, no thermal factor.

Structure:
```
data_UMn2GaO8
_space_group_name_H-M_alt 'I -4 m 2'
_space_group_IT_number 119
_space_group_name_Hall 'I -4 -2'
_cell_length_a 6.5491
_cell_length_b 6.5491
_cell_length_c 6.8713
_cell_angle_alpha 90.00
_cell_angle_beta 90.00
_cell_angle_gamma 90.00
loop_
_atom_site_label
_atom_site_type_symbol
_atom_site_fract_x
_atom_site_fract_y
_atom_site_fract_z
U1 U 0.0000 0.0000 0.0000
Mn1 Mn 0.0000 0.0000 0.5000
Mn2 Mn 0.0000 0.5000 0.2500
Ga1 Ga 0.0000 0.5000 0.7500
O1 O 0.0000 0.1929 0.6935
O2 O 0.0000 0.3061 0.0440
```

Most intense lines, 2θ from 15° to 90°, most intense first:
27.23 deg, intensity 1000, (2 0 0); 32.45 deg, intensity 966, (1 1 2); 18.72 deg, intensity 791, (1 0 1); 51.53 deg, intensity 705, (3 1 2); 19.17 deg, intensity 281, (1 1 0); 33.25 deg, intensity 251, (2 1 1); 38.90 deg, intensity 208, (2 2 0); 66.39 deg, intensity 200, (3 3 2); 60.90 deg, intensity 193, (2 0 4); 41.78 deg, intensity 185, (1 0 3)

=====

No. 2
Starting from the GGA+U geometry in Alexandria, the powder XRD pattern of UMnGa2O8 was calculated for Cu Kα X-rays.
Kinematic intensities with the Lorentz-polarization factor, no thermal factor.

Structure:
```
data_UMnGa2O8
_space_group_name_H-M_alt 'I -4 m 2'
_space_group_IT_number 119
_space_group_name_Hall 'I -4 -2'
_cell_length_a 6.6099
_cell_length_b 6.6099
_cell_length_c 6.8226
_cell_angle_alpha 90.00
_cell_angle_beta 90.00
_cell_angle_gamma 90.00
loop_
_atom_site_label
_atom_site_type_symbol
_atom_site_fract_x
_atom_site_fract_y
_atom_site_fract_z
U1 U 0.0000 0.0000 0.0000
Mn1 Mn 0.0000 0.5000 0.2500
Ga1 Ga 0.0000 0.0000 0.5000
Ga2 Ga 0.0000 0.5000 0.7500
O1 O 0.0000 0.1994 0.3019
O2 O 0.0000 0.3009 0.9349
```

Most intense lines, 2θ from 15° to 90°, most intense first:
26.98 deg, intensity 1000, (2 0 0); 32.49 deg, intensity 999, (1 1 2); 51.26 deg, intensity 707, (3 1 2); 18.69 deg, intensity 605, (1 0 1); 18.99 deg, intensity 320, (1 1 0); 38.52 deg, intensity 211, (2 2 0); 33.02 deg, intensity 210, (2 1 1); 65.91 deg, intensity 196, (3 3 2); 61.14 deg, intensity 189, (2 0 4); 55.62 deg, intensity 170, (4 0 0)

=====

No. 3
Starting from the GGA+U geometry in Alexandria, the powder XRD pattern of YMnGaO5 was calculated for Cu Kα X-rays.
Kinematic intensities with the Lorentz-polarization factor, no thermal factor.

Structure:
```
data_YMnGaO5
_space_group_name_H-M_alt 'P b a m'
_space_group_IT_number 55
_space_group_name_Hall '-P 2 2ab'
_cell_length_a 7.3724
_cell_length_b 8.5629
_cell_length_c 5.7549
_cell_angle_alpha 90.00
_cell_angle_beta 90.00
_cell_angle_gamma 90.00
loop_
_atom_site_label
_atom_site_type_symbol
_atom_site_fract_x
_atom_site_fract_y
_atom_site_fract_z
Y1 Y 0.1339 0.1688 0.0000
Mn1 Mn 0.0000 0.5000 0.2515
Ga1 Ga 0.1086 0.8540 0.5000
O1 O 0.0000 0.0000 0.2712
O2 O 0.1060 0.7066 0.2419
O3 O 0.1507 0.4293 0.5000
O4 O 0.1610 0.4428 0.0000
```

Most intense lines, 2θ from 15° to 90°, most intense first:
30.64 deg, intensity 1000, (2 1 1); 28.67 deg, intensity 766, (1 2 1); 33.67 deg, intensity 431, (1 3 0); 35.08 deg, intensity 350, (1 1 2); 59.55 deg, intensity 244, (4 0 2); 45.38 deg, intensity 232, (3 2 1); 59.09 deg, intensity 223, (3 3 2); 55.02 deg, intensity 205, (2 1 3); 53.34 deg, intensity 202, (0 4 2); 46.47 deg, intensity 161, (1 3 2)